Entry 1:
Simulated powder XRD pattern
Compound: Fe2CoIr4Ru
Radiation: λ = 1.5418 Å (Cu Kα)
Structure: a structure optimized by DFT (GGA-PBE)

Most intense lines, 15 to 90 degrees two-theta, low angle first:
20.22 deg, d 4.392, I 46.1; 40.11 deg, d 2.248, I 100.0; 41.10 deg, d 2.196, I 37.5; 43.95 deg, d 2.060, I 63.4; 50.09 deg, d 1.821, I 51.9; 66.73 deg, d 1.402, I 21.1

Structural model:
Cell lengths 5.6506, 5.6506, 5.6506 Å; angles 131.24, 123.32, 77.96 degrees
Element x y z (fractional)
Fe 0.2482 0.0000 0.2482
Fe 0.7518 0.0000 0.7518
Co 0.5000 0.5000 0.0000
Ir 0.1307 0.5049 0.1187
Ir 0.3861 0.0119 0.8813
Ir 0.6139 0.4951 0.6258
Ir 0.8693 0.9881 0.3742
Ru 0.0000 0.5000 0.5000

***

Entry 2:
Simulated powder XRD pattern
Compound: Pm6AlAg5
Radiation: λ = 1.5418 Å (Cu Kα)
Structure: a structure optimized by DFT (GGA-PBE)

Most intense lines, 15 to 90 degrees two-theta, low angle first:
33.94 deg, d 2.641, I 100.0; 34.07 deg, d 2.632, I 49.4; 48.95 deg, d 1.861, I 17.4; 60.66 deg, d 1.527, I 18.1; 60.88 deg, d 1.522, I 26.6; 71.44 deg, d 1.320, I 11.0

Structural model:
Cell lengths 5.2606, 7.4960, 8.3219 Å; angles 90.00, 108.33, 90.00 degrees
Element x y z (fractional)
Pm 0.0000 0.2477 0.0000
Pm 0.0000 0.7523 0.0000
Pm 0.3340 0.2521 0.6664
Pm 0.3340 0.7479 0.6664
Pm 0.6660 0.2521 0.3336
Pm 0.6660 0.7479 0.3336
Al 0.5000 0.5000 0.0000
Ag 0.1578 0.5000 0.3193
Ag 0.1666 0.0000 0.3356
Ag 0.5000 0.0000 0.0000
Ag 0.8334 0.0000 0.6644
Ag 0.8422 0.5000 0.6807

***

Entry 3:
Simulated powder XRD pattern
Compound: LiCuPO4
Radiation: λ = 1.5418 Å (Cu Kα)
Structure: a structure optimized by DFT (GGA-PBE)

Most intense lines, 15 to 90 degrees two-theta, low angle first:
20.59 deg, d 4.314, I 38.1; 21.91 deg, d 4.058, I 100.0; 25.84 deg, d 3.448, I 81.1; 31.78 deg, d 2.816, I 77.1; 34.41 deg, d 2.607, I 72.6; 66.41 deg, d 1.408, I 46.0

Structural model:
Cell lengths 8.5398, 8.5398, 8.5398 Å; angles 107.72, 107.72, 107.72 degrees
Element x y z (fractional)
Li 0.0179 0.1889 0.7932
Li 0.1889 0.7932 0.0179
Li 0.3044 0.7192 0.4978
Li 0.4978 0.3044 0.7192
Li 0.7192 0.4978 0.3044
Li 0.7932 0.0179 0.1889
Cu 0.1504 0.9868 0.3799
Cu 0.3799 0.1504 0.9868
Cu 0.4550 0.6825 0.8757
Cu 0.6825 0.8757 0.4550
Cu 0.8757 0.4550 0.6825
Cu 0.9868 0.3799 0.1504
P 0.0391 0.8216 0.6370
P 0.1322 0.3433 0.5284
P 0.3433 0.5284 0.1322
P 0.5284 0.1322 0.3433
P 0.6370 0.0391 0.8216
P 0.8216 0.6370 0.0391
O 0.9995 0.3100 0.6198
O 0.0147 0.2600 0.3182
O 0.1433 0.8447 0.5184
O 0.1783 0.8974 0.8386
O 0.2361 0.5697 0.2459
O 0.2459 0.2361 0.5697
O 0.2600 0.3182 0.0147
O 0.2620 0.5484 0.6090
O 0.3100 0.6198 0.9995
O 0.3182 0.0147 0.2600
O 0.5184 0.1433 0.8447
O 0.5484 0.6090 0.2620
O 0.5591 0.9123 0.6158
O 0.5697 0.2459 0.2361
O 0.6090 0.2620 0.5484
O 0.6158 0.5591 0.9123
O 0.6198 0.9995 0.3100
O 0.6268 0.9224 0.9299
O 0.8386 0.1783 0.8974
O 0.8447 0.5184 0.1433
O 0.8974 0.8386 0.1783
O 0.9123 0.6158 0.5591
O 0.9224 0.9299 0.6268
O 0.9299 0.6268 0.9224

***

Entry 4:
Simulated powder XRD pattern
Compound: AcThOsCl
Radiation: λ = 1.5418 Å (Cu Kα)
Structure: a structure optimized by DFT (GGA-PBE)

Most intense lines, 15 to 90 degrees two-theta, low angle first:
25.57 deg, d 3.484, I 32.8; 30.84 deg, d 2.899, I 100.0; 43.02 deg, d 2.102, I 42.8; 45.32 deg, d 2.001, I 31.0; 53.87 deg, d 1.702, I 21.3; 71.30 deg, d 1.323, I 18.7

Structural model:
Cell lengths 8.3452, 8.3452, 8.3452 Å; angles 29.18, 29.18, 29.18 degrees
Element x y z (fractional)
Ac 0.0000 0.0000 0.0000
Th 0.2030 0.2030 0.2030
Os 0.5930 0.5930 0.5930
Cl 0.7727 0.7727 0.7727